This entry pairs a crystal structure of TbMg2Cu with its simulated powder X-ray diffraction pattern. Radiation: Cu Ka. Structure: DFT lattice parameters and positions (GGA-PBE).

Unit cell a=3.2954 b=3.2954 c=7.9216 alpha=90.00 beta=90.00 gamma=90.00
Atoms (fractional coordinates):
Tb  0.0000  0.0000  0.0000
Mg  0.5000  0.5000  0.3104
Mg  0.5000  0.5000  0.6896
Cu  0.0000  0.0000  0.5000

Largest 6 diffraction maxima, sorted by position, 2θ from 15° to 90°:
2theta	d [Å]	intensity	hkl
22.4	3.961	41	0 0 2
27.1	3.295	44	1 0 0
29.4	3.043	27	1 0 1
35.4	2.533	100	1 0 2
38.6	2.330	44	1 1 0
67.9	1.381	29	2 1 2